Record 1
Starting from DFT lattice parameters and positions (GGA+U), the XRD peak list of Li3La7Fe2O16 was calculated for Cu Kα.

Structural model:
```
data_Li3La7Fe2O16
_chemical_formula_sum 'Li6 La14 Fe4 O32'
_space_group_name_H-M_alt 'C 1 m 1'
_space_group_IT_number 8
_cell_length_a 10.752
_cell_length_b 10.823
_cell_length_c 6.878
_cell_angle_alpha 90.00
_cell_angle_beta 113.20
_cell_angle_gamma 90.00
loop_
_space_group_symop_operation_xyz
'x,y,z'
'x,-y,z'
'x+1/2,y+1/2,z'
'x+1/2,-y+1/2,z'
loop_
_atom_site_label
_atom_site_type_symbol
_atom_site_fract_x
_atom_site_fract_y
_atom_site_fract_z
_atom_site_occupancy
Li1 Li 0.000 0.000 0.000 1
Li2 Li 0.456 0.252 0.838 1
La1 La 0.018 0.500 0.095 1
La2 La 0.130 0.251 0.536 1
La3 La 0.274 0.253 0.090 1
La4 La 0.374 0.000 0.536 1
La5 La 0.386 0.500 0.543 1
Fe1 Fe 0.199 0.000 0.819 1
Fe2 Fe 0.201 0.500 0.816 1
O1 O 0.027 0.278 0.179 1
O2 O 0.072 0.379 0.800 1
O3 O 0.080 0.122 0.827 1
O4 O 0.115 0.000 0.506 1
O5 O 0.126 0.500 0.495 1
O6 O 0.265 0.500 0.140 1
O7 O 0.297 0.000 0.150 1
O8 O 0.319 0.121 0.804 1
O9 O 0.325 0.381 0.819 1
O10 O 0.352 0.256 0.450 1
```

Most intense lines, 10 to 90 degrees two-theta, sorted by position:
| 2θ/deg | d [Å] | I/Imax |
| --- | --- | --- |
| 17.9 | 4.948 | 15 |
| 24.4 | 3.652 | 53 |
| 28.2 | 3.162 | 24 |
| 31.6 | 2.828 | 100 |
| 33.1 | 2.706 | 37 |
| 33.3 | 2.688 | 36 |
| 42.9 | 2.106 | 19 |
| 44.1 | 2.056 | 26 |
| 47.7 | 1.907 | 39 |
| 56.3 | 1.634 | 16 |
| 56.4 | 1.631 | 15 |
| 58.2 | 1.585 | 19 |



Record 2
Starting from DFT lattice parameters and positions (GGA+U), the XRD peak list of LiLaFe4O12 was calculated for Cu Kα.

Structural model:
```
data_LiLaFe4O12
_chemical_formula_sum 'Li2 La2 Fe8 O24'
_space_group_name_H-M_alt 'A m m 2'
_space_group_IT_number 38
_cell_length_a 7.585
_cell_length_b 7.376
_cell_length_c 7.586
_cell_angle_alpha 90.00
_cell_angle_beta 90.00
_cell_angle_gamma 90.00
loop_
_space_group_symop_operation_xyz
'x,y,z'
'-x,-y,z'
'-x,y,z'
'x,-y,z'
'x,y+1/2,z+1/2'
'-x,-y+1/2,z+1/2'
'-x,y+1/2,z+1/2'
'x,-y+1/2,z+1/2'
loop_
_atom_site_label
_atom_site_type_symbol
_atom_site_fract_x
_atom_site_fract_y
_atom_site_fract_z
_atom_site_occupancy
Li1 Li 0.000 0.000 0.000 1
La1 La 0.500 0.000 0.508 1
Fe1 Fe 0.238 0.246 0.258 1
O1 O 0.000 0.156 0.236 1
O2 O 0.187 0.000 0.786 1
O3 O 0.247 0.220 0.510 1
O4 O 0.312 0.000 0.238 1
O5 O 0.500 0.211 0.767 1
```

Most intense lines, 10 to 90 degrees two-theta, sorted by position:
| 2θ/deg | d [Å] | I/Imax |
| --- | --- | --- |
| 11.7 | 7.585 | 37 |
| 16.8 | 5.288 | 47 |
| 20.5 | 4.338 | 72 |
| 23.5 | 3.793 | 31 |
| 26.3 | 3.393 | 20 |
| 29.0 | 3.082 | 22 |
| 33.4 | 2.682 | 42 |
| 33.9 | 2.644 | 100 |
| 39.5 | 2.281 | 29 |
| 48.0 | 1.896 | 47 |
| 60.0 | 1.541 | 44 |
| 61.0 | 1.520 | 23 |



Record 3
Starting from DFT lattice parameters and positions (GGA+U), the XRD peak list of SrLiLa7Fe3O16 was calculated for Cu Kα.

Structural model:
```
data_SrLiLa7Fe3O16
_chemical_formula_sum 'Sr1 Li1 La7 Fe3 O16'
_space_group_name_H-M_alt 'P 4 m m'
_space_group_IT_number 99
_cell_length_a 5.428
_cell_length_b 5.428
_cell_length_c 12.555
_cell_angle_alpha 90.00
_cell_angle_beta 90.00
_cell_angle_gamma 90.00
loop_
_space_group_symop_operation_xyz
'x,y,z'
'-y,x,z'
'-x,-y,z'
'y,-x,z'
'-x,y,z'
'y,x,z'
'x,-y,z'
'-y,-x,z'
loop_
_atom_site_label
_atom_site_type_symbol
_atom_site_fract_x
_atom_site_fract_y
_atom_site_fract_z
_atom_site_occupancy
Sr1 Sr 0.000 0.000 0.000 1
Li1 Li 0.500 0.500 0.641 1
La1 La 0.000 0.000 0.277 1
La2 La 0.000 0.500 0.506 1
La3 La 0.000 0.500 0.780 1
La4 La 0.500 0.500 0.005 1
La5 La 0.500 0.500 0.280 1
Fe1 Fe 0.000 0.000 0.641 1
Fe2 Fe 0.000 0.500 0.140 1
O1 O 0.000 0.000 0.470 1
O2 O 0.000 0.000 0.804 1
O3 O 0.000 0.500 0.314 1
O4 O 0.000 0.500 0.971 1
O5 O 0.247 0.247 0.641 1
O6 O 0.251 0.251 0.146 1
O7 O 0.500 0.500 0.461 1
O8 O 0.500 0.500 0.825 1
```

Most intense lines, 10 to 90 degrees two-theta, sorted by position:
| 2θ/deg | d [Å] | I/Imax |
| --- | --- | --- |
| 24.2 | 3.671 | 41 |
| 28.4 | 3.139 | 19 |
| 31.6 | 2.829 | 100 |
| 33.0 | 2.714 | 77 |
| 43.0 | 2.101 | 21 |
| 44.1 | 2.053 | 44 |
| 47.4 | 1.919 | 40 |
| 56.2 | 1.637 | 12 |
| 56.6 | 1.625 | 14 |
| 58.1 | 1.588 | 37 |
| 69.2 | 1.358 | 20 |
| 78.8 | 1.214 | 21 |



Record 4
Starting from DFT lattice parameters and positions (GGA+U), the XRD peak list of LaMgFeNiO6 was calculated for Cu Kα.

Structural model:
```
data_LaMgFeNiO6
_chemical_formula_sum 'La2 Mg2 Fe2 Ni2 O12'
_space_group_name_H-M_alt 'P 1 c 1'
_space_group_IT_number 7
_cell_length_a 5.307
_cell_length_b 5.447
_cell_length_c 9.285
_cell_angle_alpha 90.00
_cell_angle_beta 124.84
_cell_angle_gamma 90.00
loop_
_space_group_symop_operation_xyz
'x,y,z'
'x,-y,z+1/2'
loop_
_atom_site_label
_atom_site_type_symbol
_atom_site_fract_x
_atom_site_fract_y
_atom_site_fract_z
_atom_site_occupancy
La1 La 0.000 0.217 0.000 1
Mg1 Mg 0.463 0.307 0.499 1
Fe1 Fe 0.745 0.252 0.253 1
Ni1 Ni 0.241 0.248 0.749 1
O1 O 0.033 0.489 0.807 1
O2 O 0.103 0.053 0.307 1
O3 O 0.427 0.487 0.197 1
O4 O 0.496 0.046 0.692 1
O5 O 0.569 0.297 0.004 1
O6 O 0.858 0.230 0.495 1
```

Most intense lines, 10 to 90 degrees two-theta, sorted by position:
| 2θ/deg | d [Å] | I/Imax |
| --- | --- | --- |
| 20.0 | 4.431 | 30 |
| 20.4 | 4.355 | 30 |
| 32.9 | 2.723 | 23 |
| 33.3 | 2.691 | 100 |
| 33.8 | 2.653 | 21 |
| 39.0 | 2.309 | 13 |
| 39.6 | 2.276 | 17 |
| 47.7 | 1.905 | 15 |
| 47.9 | 1.900 | 28 |
| 59.0 | 1.566 | 16 |
| 60.1 | 1.539 | 23 |
| 69.9 | 1.345 | 13 |



Record 5
Starting from DFT lattice parameters and positions (GGA+U), the XRD peak list of LaMgTiFeO6 was calculated for Cu Kα.

Structural model:
```
data_LaMgTiFeO6
_chemical_formula_sum 'La2 Mg2 Ti2 Fe2 O12'
_space_group_name_H-M_alt 'P 1 c 1'
_space_group_IT_number 7
_cell_length_a 5.286
_cell_length_b 5.482
_cell_length_c 9.379
_cell_angle_alpha 90.00
_cell_angle_beta 123.17
_cell_angle_gamma 90.00
loop_
_space_group_symop_operation_xyz
'x,y,z'
'x,-y,z+1/2'
loop_
_atom_site_label
_atom_site_type_symbol
_atom_site_fract_x
_atom_site_fract_y
_atom_site_fract_z
_atom_site_occupancy
La1 La 0.000 0.211 0.000 1
Mg1 Mg 0.547 0.306 0.504 1
Ti1 Ti 0.260 0.258 0.748 1
Fe1 Fe 0.758 0.248 0.251 1
O1 O 0.170 0.232 0.517 1
O2 O 0.423 0.291 0.990 1
O3 O 0.525 0.049 0.315 1
O4 O 0.592 0.487 0.810 1
O5 O 0.906 0.049 0.696 1
O6 O 0.970 0.482 0.191 1
```

Most intense lines, 10 to 90 degrees two-theta, sorted by position:
| 2θ/deg | d [Å] | I/Imax |
| --- | --- | --- |
| 19.8 | 4.495 | 65 |
| 20.1 | 4.424 | 32 |
| 20.4 | 4.345 | 32 |
| 32.5 | 2.751 | 100 |
| 32.7 | 2.741 | 41 |
| 33.0 | 2.713 | 89 |
| 33.9 | 2.642 | 35 |
| 38.1 | 2.362 | 26 |
| 46.3 | 1.963 | 29 |
| 47.8 | 1.902 | 50 |
| 57.8 | 1.596 | 22 |
| 59.5 | 1.553 | 22 |



Record 6
Starting from DFT lattice parameters and positions (GGA+U), the XRD peak list of LaMgFeWO6 was calculated for Cu Kα.

Structural model:
```
data_LaMgFeWO6
_chemical_formula_sum 'La2 Mg2 Fe2 W2 O12'
_space_group_name_H-M_alt 'P 1 c 1'
_space_group_IT_number 7
_cell_length_a 5.455
_cell_length_b 5.631
_cell_length_c 9.775
_cell_angle_alpha 90.00
_cell_angle_beta 123.34
_cell_angle_gamma 90.00
loop_
_space_group_symop_operation_xyz
'x,y,z'
'x,-y,z+1/2'
loop_
_atom_site_label
_atom_site_type_symbol
_atom_site_fract_x
_atom_site_fract_y
_atom_site_fract_z
_atom_site_occupancy
La1 La 0.000 0.200 0.000 1
Mg1 Mg 0.561 0.319 0.556 1
Fe1 Fe 0.749 0.246 0.256 1
W1 W 0.242 0.252 0.749 1
O1 O 0.144 0.042 0.315 1
O2 O 0.368 0.482 0.176 1
O3 O 0.502 0.059 0.692 1
O4 O 0.570 0.327 0.985 1
O5 O 0.874 0.205 0.513 1
O6 O 0.962 0.438 0.784 1
```

Most intense lines, 10 to 90 degrees two-theta, sorted by position:
| 2θ/deg | d [Å] | I/Imax |
| --- | --- | --- |
| 19.1 | 4.636 | 54 |
| 19.5 | 4.557 | 23 |
| 19.7 | 4.515 | 21 |
| 31.5 | 2.837 | 69 |
| 31.8 | 2.816 | 100 |
| 32.8 | 2.727 | 32 |
| 44.4 | 2.042 | 18 |
| 46.4 | 1.959 | 32 |
| 55.6 | 1.653 | 15 |
| 56.6 | 1.626 | 19 |
| 57.7 | 1.599 | 16 |
| 58.1 | 1.588 | 17 |



Repeat the first record exactly.
Starting from DFT lattice parameters and positions (GGA+U), the XRD peak list of Li3La7Fe2O16 was calculated for Cu Kα.

Structural model:
```
data_Li3La7Fe2O16
_chemical_formula_sum 'Li6 La14 Fe4 O32'
_space_group_name_H-M_alt 'C 1 m 1'
_space_group_IT_number 8
_cell_length_a 10.752
_cell_length_b 10.823
_cell_length_c 6.878
_cell_angle_alpha 90.00
_cell_angle_beta 113.20
_cell_angle_gamma 90.00
loop_
_space_group_symop_operation_xyz
'x,y,z'
'x,-y,z'
'x+1/2,y+1/2,z'
'x+1/2,-y+1/2,z'
loop_
_atom_site_label
_atom_site_type_symbol
_atom_site_fract_x
_atom_site_fract_y
_atom_site_fract_z
_atom_site_occupancy
Li1 Li 0.000 0.000 0.000 1
Li2 Li 0.456 0.252 0.838 1
La1 La 0.018 0.500 0.095 1
La2 La 0.130 0.251 0.536 1
La3 La 0.274 0.253 0.090 1
La4 La 0.374 0.000 0.536 1
La5 La 0.386 0.500 0.543 1
Fe1 Fe 0.199 0.000 0.819 1
Fe2 Fe 0.201 0.500 0.816 1
O1 O 0.027 0.278 0.179 1
O2 O 0.072 0.379 0.800 1
O3 O 0.080 0.122 0.827 1
O4 O 0.115 0.000 0.506 1
O5 O 0.126 0.500 0.495 1
O6 O 0.265 0.500 0.140 1
O7 O 0.297 0.000 0.150 1
O8 O 0.319 0.121 0.804 1
O9 O 0.325 0.381 0.819 1
O10 O 0.352 0.256 0.450 1
```

Most intense lines, 10 to 90 degrees two-theta, sorted by position:
| 2θ/deg | d [Å] | I/Imax |
| --- | --- | --- |
| 17.9 | 4.948 | 15 |
| 24.4 | 3.652 | 53 |
| 28.2 | 3.162 | 24 |
| 31.6 | 2.828 | 100 |
| 33.1 | 2.706 | 37 |
| 33.3 | 2.688 | 36 |
| 42.9 | 2.106 | 19 |
| 44.1 | 2.056 | 26 |
| 47.7 | 1.907 | 39 |
| 56.3 | 1.634 | 16 |
| 56.4 | 1.631 | 15 |
| 58.2 | 1.585 | 19 |



Repeat the sixth record exactly.
Starting from DFT lattice parameters and positions (GGA+U), the XRD peak list of LaMgFeWO6 was calculated for Cu Kα.

Structural model:
```
data_LaMgFeWO6
_chemical_formula_sum 'La2 Mg2 Fe2 W2 O12'
_space_group_name_H-M_alt 'P 1 c 1'
_space_group_IT_number 7
_cell_length_a 5.455
_cell_length_b 5.631
_cell_length_c 9.775
_cell_angle_alpha 90.00
_cell_angle_beta 123.34
_cell_angle_gamma 90.00
loop_
_space_group_symop_operation_xyz
'x,y,z'
'x,-y,z+1/2'
loop_
_atom_site_label
_atom_site_type_symbol
_atom_site_fract_x
_atom_site_fract_y
_atom_site_fract_z
_atom_site_occupancy
La1 La 0.000 0.200 0.000 1
Mg1 Mg 0.561 0.319 0.556 1
Fe1 Fe 0.749 0.246 0.256 1
W1 W 0.242 0.252 0.749 1
O1 O 0.144 0.042 0.315 1
O2 O 0.368 0.482 0.176 1
O3 O 0.502 0.059 0.692 1
O4 O 0.570 0.327 0.985 1
O5 O 0.874 0.205 0.513 1
O6 O 0.962 0.438 0.784 1
```

Most intense lines, 10 to 90 degrees two-theta, sorted by position:
| 2θ/deg | d [Å] | I/Imax |
| --- | --- | --- |
| 19.1 | 4.636 | 54 |
| 19.5 | 4.557 | 23 |
| 19.7 | 4.515 | 21 |
| 31.5 | 2.837 | 69 |
| 31.8 | 2.816 | 100 |
| 32.8 | 2.727 | 32 |
| 44.4 | 2.042 | 18 |
| 46.4 | 1.959 | 32 |
| 55.6 | 1.653 | 15 |
| 56.6 | 1.626 | 19 |
| 57.7 | 1.599 | 16 |
| 58.1 | 1.588 | 17 |